No. 1
Theoretical XRD peak list of Rb3In2Sn2Sb4 for λ = 1.5418 Å (Cu Kα), from a structure optimized by DFT (GGA-PBE).

Peak list (8 most intense, 15 to 90 degrees two-theta, in order of falling intensity)
2theta	I (rel.)
34.18	100
27.29	62
24.19	59
48.49	58
33.34	28
61.20	18
71.50	18
44.28	16

Structural model:
Lattice parameters (Å, degrees): 5.2464 5.2464 18.8125 90.00 90.00 120.00
Fractional coordinates of all 11 atoms:
Rb (0.0000, 0.0000, 0.0000)
Rb (0.0000, 0.0000, 0.2829)
Rb (0.0000, 0.0000, 0.7171)
In (0.3333, 0.6667, 0.1440)
In (0.6667, 0.3333, 0.8560)
Sn (0.3333, 0.6667, 0.5616)
Sn (0.6667, 0.3333, 0.4384)
Sb (0.3333, 0.6667, 0.4054)
Sb (0.3333, 0.6667, 0.8582)
Sb (0.6667, 0.3333, 0.1418)
Sb (0.6667, 0.3333, 0.5946)

No. 2
Theoretical XRD peak list of Cs5GeSe4 for λ = 1.5418 Å (Cu Kα), from a structure optimized by DFT (GGA-PBE).

Peak list (8 most intense, 15 to 90 degrees two-theta, in order of falling intensity)
2theta	I (rel.)
31.71	100
26.41	86
20.19	53
27.10	47
21.76	38
44.42	38
35.05	34
20.68	29

Structural model:
Lattice parameters (Å, degrees): 10.2402 11.0051 8.5909 90.00 90.00 90.00
Fractional coordinates of all 20 atoms:
Cs (0.0104, 0.0576, 0.2337)
Cs (0.0104, 0.4424, 0.2337)
Cs (0.2500, 0.7500, 0.3645)
Cs (0.4896, 0.0576, 0.2337)
Cs (0.4896, 0.4424, 0.2337)
Cs (0.5104, 0.5576, 0.7663)
Cs (0.5104, 0.9424, 0.7663)
Cs (0.7500, 0.2500, 0.6355)
Cs (0.9896, 0.5576, 0.7663)
Cs (0.9896, 0.9424, 0.7663)
Ge (0.2500, 0.2500, 0.7106)
Ge (0.7500, 0.7500, 0.2894)
Se (0.0415, 0.2500, 0.8779)
Se (0.2500, 0.0564, 0.5405)
Se (0.2500, 0.4436, 0.5405)
Se (0.4585, 0.2500, 0.8779)
Se (0.5415, 0.7500, 0.1221)
Se (0.7500, 0.5564, 0.4595)
Se (0.7500, 0.9436, 0.4595)
Se (0.9585, 0.7500, 0.1221)

No. 3
Theoretical XRD peak list of YTaBiBr2 for λ = 1.5418 Å (Cu Kα), from a structure optimized by DFT (GGA-PBE).

Peak list (8 most intense, 15 to 90 degrees two-theta, in order of falling intensity)
2theta	I (rel.)
27.70	100
34.29	56
44.34	55
27.25	51
24.06	32
57.47	27
57.22	26
36.67	22

Structural model:
Lattice parameters (Å, degrees): 5.2305 5.2305 6.5447 90.00 90.00 90.00
Fractional coordinates of all 5 atoms:
Y (0.0000, 0.0000, 0.0000)
Ta (0.0000, 0.0000, 0.5000)
Bi (0.5000, 0.5000, 0.5000)
Br (0.0000, 0.5000, 0.0000)
Br (0.5000, 0.0000, 0.0000)

No. 4
Theoretical XRD peak list of Na8B11C5 for λ = 1.5418 Å (Cu Kα), from a structure optimized by DFT (GGA-PBE).

Peak list (8 most intense, 15 to 90 degrees two-theta, in order of falling intensity)
2theta	I (rel.)
42.34	100
40.80	49
41.97	39
63.54	17
79.11	17
36.56	16
76.94	13
34.80	12

Structural model:
Lattice parameters (Å, degrees): 2.7963 10.0357 10.0357 118.17 90.00 90.00
Fractional coordinates of all 24 atoms:
Na (0.0000, 0.1236, 0.8764)
Na (0.0000, 0.3731, 0.6207)
Na (0.0000, 0.6207, 0.3731)
Na (0.0000, 0.8764, 0.1236)
Na (0.5000, 0.1259, 0.3732)
Na (0.5000, 0.3732, 0.1259)
Na (0.5000, 0.6245, 0.8771)
Na (0.5000, 0.8771, 0.6245)
B (0.0000, 0.0888, 0.5886)
B (0.0000, 0.1611, 0.1611)
B (0.0000, 0.4238, 0.9261)
B (0.0000, 0.5886, 0.0888)
B (0.0000, 0.6886, 0.6886)
B (0.0000, 0.9261, 0.4238)
B (0.5000, 0.3155, 0.8174)
B (0.5000, 0.4015, 0.4015)
B (0.5000, 0.5741, 0.5741)
B (0.5000, 0.8174, 0.3155)
B (0.5000, 0.9227, 0.9227)
C (0.0000, 0.3214, 0.3214)
C (0.0000, 0.8411, 0.8411)
C (0.5000, 0.0811, 0.0811)
C (0.5000, 0.1672, 0.6684)
C (0.5000, 0.6684, 0.1672)

No. 5
Theoretical XRD peak list of Pu2Sn2PbAu2 for λ = 1.5418 Å (Cu Kα), from a structure optimized by DFT (GGA-PBE).

Peak list (8 most intense, 15 to 90 degrees two-theta, in order of falling intensity)
2theta	I (rel.)
32.07	100
36.72	87
49.53	30
63.22	30
66.13	21
40.75	14
86.92	13
53.97	13

Structural model:
Lattice parameters (Å, degrees): 9.1039 9.1039 9.1039 31.19 31.19 31.19
Fractional coordinates of all 7 atoms:
Pu (0.1396, 0.1396, 0.1396)
Pu (0.8604, 0.8604, 0.8604)
Sn (0.2654, 0.2654, 0.2654)
Sn (0.7346, 0.7346, 0.7346)
Pb (0.0000, 0.0000, 0.0000)
Au (0.4384, 0.4384, 0.4384)
Au (0.5616, 0.5616, 0.5616)

No. 6
Theoretical XRD peak list of MgIn2Pb9 for λ = 1.5418 Å (Cu Kα), from a structure optimized by DFT (GGA-PBE).

Peak list (8 most intense, 15 to 90 degrees two-theta, in order of falling intensity)
2theta	I (rel.)
31.34	100
36.44	34
62.41	29
52.27	24
36.16	17
62.04	14
65.39	12
85.53	12

Structural model:
Lattice parameters (Å, degrees): 4.9315 4.9315 14.9055 90.00 90.00 90.00
Fractional coordinates of all 12 atoms:
Mg (0.0000, 0.0000, 0.0000)
In (0.0000, 0.0000, 0.3324)
In (0.0000, 0.0000, 0.6676)
Pb (0.0000, 0.5000, 0.1619)
Pb (0.0000, 0.5000, 0.5000)
Pb (0.0000, 0.5000, 0.8381)
Pb (0.5000, 0.0000, 0.1619)
Pb (0.5000, 0.0000, 0.5000)
Pb (0.5000, 0.0000, 0.8381)
Pb (0.5000, 0.5000, 0.0000)
Pb (0.5000, 0.5000, 0.3300)
Pb (0.5000, 0.5000, 0.6700)

No. 7
Theoretical XRD peak list of SrPmMgCu for λ = 1.5418 Å (Cu Kα), from a structure optimized by DFT (GGA-PBE).

Peak list (8 most intense, 15 to 90 degrees two-theta, in order of falling intensity)
2theta	I (rel.)
33.04	100
59.00	37
23.20	22
47.42	18
78.95	15
69.31	11
20.05	11
53.43	9

Structural model:
Lattice parameters (Å, degrees): 5.4229 5.4229 5.4229 60.00 60.00 60.00
Fractional coordinates of all 4 atoms:
Sr (0.0000, 0.0000, 0.0000)
Pm (0.5000, 0.5000, 0.5000)
Mg (0.2500, 0.2500, 0.2500)
Cu (0.7500, 0.7500, 0.7500)

No. 8
Theoretical XRD peak list of TaMo6 for λ = 1.5418 Å (Cu Kα), from a structure optimized by DFT (GGA-PBE).

Peak list (8 most intense, 15 to 90 degrees two-theta, in order of falling intensity)
2theta	I (rel.)
39.98	100
40.11	99
72.67	33
57.93	33
72.97	17
72.76	11
86.61	11
86.23	7

Structural model:
Lattice parameters (Å, degrees): 5.2828 5.2828 5.2716 94.95 94.95 50.48
Fractional coordinates of all 7 atoms:
Ta (0.0000, 0.0000, 0.0000)
Mo (0.1434, 0.1434, 0.5673)
Mo (0.2871, 0.2871, 0.1424)
Mo (0.4284, 0.4284, 0.7112)
Mo (0.5716, 0.5716, 0.2888)
Mo (0.7129, 0.7129, 0.8576)
Mo (0.8566, 0.8566, 0.4327)

Please write out number 8 again, unchanged.
Theoretical XRD peak list of TaMo6 for λ = 1.5418 Å (Cu Kα), from a structure optimized by DFT (GGA-PBE).

Peak list (8 most intense, 15 to 90 degrees two-theta, in order of falling intensity)
2theta	I (rel.)
39.98	100
40.11	99
72.67	33
57.93	33
72.97	17
72.76	11
86.61	11
86.23	7

Structural model:
Lattice parameters (Å, degrees): 5.2828 5.2828 5.2716 94.95 94.95 50.48
Fractional coordinates of all 7 atoms:
Ta (0.0000, 0.0000, 0.0000)
Mo (0.1434, 0.1434, 0.5673)
Mo (0.2871, 0.2871, 0.1424)
Mo (0.4284, 0.4284, 0.7112)
Mo (0.5716, 0.5716, 0.2888)
Mo (0.7129, 0.7129, 0.8576)
Mo (0.8566, 0.8566, 0.4327)